# MoWO6
Computed XRD peak list, λ = 1.5418 Å (Cu Kα). Input: the PBE+U geometry in Alexandria.
Lines closer than 0.1° are merged.

Structural model:
```
8
Lattice="4.740 -2.738 0.000 4.740 2.738 0.000 -3.162 0.000 4.496" Properties=species:S:1:pos:R:3 pbc="T T T"
Mo 0.000 0.000 0.000
W 3.163 0.000 2.242
O 3.941 1.367 0.893
O 2.375 1.380 3.157
O 1.576 0.000 0.912
O 3.941 -1.367 0.893
O 4.766 0.000 3.136
O 2.375 -1.380 3.157
```

Main lines, in order of rising 2θ (2θ = 10–90°):
d_spacing, Position (°2θ), Rel. int.
4.473, 19.85, 9
3.878, 22.93, 100
2.748, 32.58, 25
2.737, 32.72, 25
2.236, 40.33, 8
1.939, 46.85, 20
1.737, 52.69, 19
1.732, 52.87, 20
1.582, 58.33, 13
1.291, 73.36, 7